# NaIn4Bi
Computed PXRD pattern, λ = 1.5418 Å (Cu Kα). Input: a PBE-relaxed structure.
Kinematic intensities with the Lorentz-polarization factor, no thermal factor.

Main lines, in order of rising 2θ (5° ≤ 2θ ≤ 70°):
two_theta  Rel. int.  hkl
19.88  22  1 3 0
20.27  23  1 1 -1
29.12  52  2 2 0
31.52  66  0 0 2
31.82  20  2 2 -1
33.14  100  0 6 1
36.12  45  2 4 -1
38.60  36  2 4 1
57.16  26  0 6 3
57.42  24  2 10 0

Cell and atoms:
Cell: 6.5337 18.4416 5.7071 Å, 90.00 95.86 90.00°
Space group C2/c (No. 15)
Symmetry-distinct sites (fractional):
Na  0.0000  0.2028  0.2500 [4 per cell]
In  0.2458  0.0376  0.2622 [8 per cell]
In  0.2483  0.1349  0.7546 [8 per cell]
Bi  0.0000  0.3070  0.7500 [4 per cell]